1.
Structure and calculated XRD peak list of Sm2BeGa2O7 (a cell relaxed with PBE; Cu Kα, 1.54184 Å).

Atomic structure:
Lattice parameters (Å, degrees): 7.6772 7.6772 5.2026 90.00 90.00 90.00
Atoms (fractional coordinates):
1 Sm 0.1660 0.3340 0.0192
2 Sm 0.3340 0.8340 0.9808
3 Sm 0.6660 0.1660 0.9808
4 Sm 0.8340 0.6660 0.0192
5 Be 0.0000 0.0000 0.5000
6 Be 0.5000 0.5000 0.5000
7 Ga 0.1513 0.6513 0.5281
8 Ga 0.3487 0.1513 0.4719
9 Ga 0.6513 0.8487 0.4719
10 Ga 0.8487 0.3487 0.5281
11 O 0.0000 0.5000 0.6993
12 O 0.0944 0.8571 0.6951
13 O 0.1351 0.6351 0.1765
14 O 0.1429 0.0944 0.3049
15 O 0.3571 0.5944 0.6951
16 O 0.3649 0.1351 0.8235
17 O 0.4056 0.3571 0.3049
18 O 0.5000 0.0000 0.3007
19 O 0.5944 0.6429 0.3049
20 O 0.6351 0.8649 0.8235
21 O 0.6429 0.4056 0.6951
22 O 0.8571 0.9056 0.3049
23 O 0.8649 0.3649 0.1765
24 O 0.9056 0.1429 0.6951

The 10 most intense peaks (5° ≤ 2θ ≤ 70°), sorted by position:
2θ 16.33, intensity 14.8; 2θ 23.17, intensity 14.3; 2θ 31.21, intensity 100.0; 2θ 34.48, intensity 11.0; 2θ 37.03, intensity 13.3; 2θ 50.43, intensity 12.5; 2θ 51.49, intensity 14.8; 2θ 52.18, intensity 17.8; 2θ 59.74, intensity 15.3; 2θ 68.21, intensity 12.9



2.
Structure and calculated XRD peak list of U2Be25Ga (a cell relaxed with PBE; Cu Kα, 1.54184 Å).

Atomic structure:
Lattice parameters (Å, degrees): 7.2637 7.2637 7.2637 60.00 60.00 60.00
Atoms (fractional coordinates):
1 U 0.2500 0.2500 0.2500
2 U 0.7500 0.7500 0.7500
3 Be 0.0000 0.0000 0.0000
4 Be 0.0621 0.2870 0.7130
5 Be 0.0621 0.7130 0.9379
6 Be 0.0621 0.9379 0.2870
7 Be 0.1942 0.4418 0.8058
8 Be 0.1942 0.5582 0.4418
9 Be 0.1942 0.8058 0.5582
10 Be 0.2870 0.0621 0.9379
11 Be 0.2870 0.7130 0.0621
12 Be 0.2870 0.9379 0.7130
13 Be 0.4418 0.1942 0.5582
14 Be 0.4418 0.5582 0.8058
15 Be 0.4418 0.8058 0.1942
16 Be 0.5582 0.1942 0.8058
17 Be 0.5582 0.4418 0.1942
18 Be 0.5582 0.8058 0.4418
19 Be 0.7130 0.0621 0.2870
20 Be 0.7130 0.2870 0.9379
21 Be 0.7130 0.9379 0.0621
22 Be 0.8058 0.1942 0.4418
23 Be 0.8058 0.4418 0.5582
24 Be 0.8058 0.5582 0.1942
25 Be 0.9379 0.0621 0.7130
26 Be 0.9379 0.2870 0.0621
27 Be 0.9379 0.7130 0.2870
28 Ga 0.5000 0.5000 0.5000

The 10 most intense peaks (5° ≤ 2θ ≤ 70°), sorted by position:
2θ 17.26, intensity 51.5; 2θ 24.51, intensity 100.0; 2θ 30.14, intensity 23.1; 2θ 34.94, intensity 22.4; 2θ 39.22, intensity 38.7; 2θ 43.14, intensity 57.0; 2θ 50.24, intensity 14.2; 2θ 53.52, intensity 13.9; 2θ 56.67, intensity 24.4; 2θ 68.33, intensity 27.8



3.
Structure and calculated XRD peak list of GdBe13 (a cell relaxed with PBE; Cu Kα, 1.54184 Å).

Atomic structure:
Lattice parameters (Å, degrees): 7.2145 7.2145 7.2145 60.00 60.00 60.00
Atoms (fractional coordinates):
1 Gd 0.2500 0.2500 0.2500
2 Gd 0.7500 0.7500 0.7500
3 Be 0.0000 0.0000 0.0000
4 Be 0.0628 0.2906 0.7094
5 Be 0.0628 0.7094 0.9372
6 Be 0.0628 0.9372 0.2906
7 Be 0.2094 0.4372 0.7906
8 Be 0.2094 0.5628 0.4372
9 Be 0.2094 0.7906 0.5628
10 Be 0.2906 0.0628 0.9372
11 Be 0.2906 0.7094 0.0628
12 Be 0.2906 0.9372 0.7094
13 Be 0.4372 0.2094 0.5628
14 Be 0.4372 0.5628 0.7906
15 Be 0.4372 0.7906 0.2094
16 Be 0.5000 0.5000 0.5000
17 Be 0.5628 0.2094 0.7906
18 Be 0.5628 0.4372 0.2094
19 Be 0.5628 0.7906 0.4372
20 Be 0.7094 0.0628 0.2906
21 Be 0.7094 0.2906 0.9372
22 Be 0.7094 0.9372 0.0628
23 Be 0.7906 0.2094 0.4372
24 Be 0.7906 0.4372 0.5628
25 Be 0.7906 0.5628 0.2094
26 Be 0.9372 0.0628 0.7094
27 Be 0.9372 0.2906 0.0628
28 Be 0.9372 0.7094 0.2906

The 10 most intense peaks (5° ≤ 2θ ≤ 70°), sorted by position:
2θ 17.38, intensity 90.2; 2θ 24.68, intensity 100.0; 2θ 30.35, intensity 44.2; 2θ 35.18, intensity 22.5; 2θ 39.50, intensity 71.9; 2θ 43.45, intensity 61.0; 2θ 53.92, intensity 22.6; 2θ 57.09, intensity 25.5; 2θ 66.03, intensity 16.6; 2θ 68.86, intensity 27.9



4.
Structure and calculated XRD peak list of Gd2Be2GeO7 (a cell relaxed with PBE; Cu Kα, 1.54184 Å).

Atomic structure:
Lattice parameters (Å, degrees): 7.5171 7.5171 4.8683 90.00 90.00 90.00
Atoms (fractional coordinates):
1 Gd 0.1591 0.3409 0.4955
2 Gd 0.3409 0.8409 0.5045
3 Gd 0.6591 0.1591 0.5045
4 Gd 0.8409 0.6591 0.4955
5 Be 0.1351 0.6351 0.9535
6 Be 0.3649 0.1351 0.0465
7 Be 0.6351 0.8649 0.0465
8 Be 0.8649 0.3649 0.9535
9 Ge 0.0000 0.0000 0.0000
10 Ge 0.5000 0.5000 0.0000
11 O 0.0000 0.5000 0.8179
12 O 0.0802 0.8281 0.7880
13 O 0.1415 0.6415 0.2802
14 O 0.1719 0.0802 0.2120
15 O 0.3281 0.5802 0.7880
16 O 0.3585 0.1415 0.7198
17 O 0.4198 0.3281 0.2120
18 O 0.5000 0.0000 0.1821
19 O 0.5802 0.6719 0.2120
20 O 0.6415 0.8585 0.7198
21 O 0.6719 0.4198 0.7880
22 O 0.8281 0.9198 0.2120
23 O 0.8585 0.3585 0.2802
24 O 0.9198 0.1719 0.7880

The 10 most intense peaks (5° ≤ 2θ ≤ 70°), sorted by position:
2θ 18.22, intensity 34.5; 2θ 24.80, intensity 44.5; 2θ 26.51, intensity 49.4; 2θ 30.04, intensity 45.6; 2θ 32.36, intensity 100.0; 2θ 37.85, intensity 27.2; 2θ 46.04, intensity 42.9; 2θ 52.17, intensity 16.3; 2θ 53.91, intensity 27.2; 2θ 55.16, intensity 25.2



5.
Structure and calculated XRD peak list of BeGe3 (a cell relaxed with PBE; Cu Kα, 1.54184 Å).

Atomic structure:
Lattice parameters (Å, degrees): 4.0833 4.0833 4.0833 90.00 90.00 90.00
Atoms (fractional coordinates):
1 Be 0.0000 0.0000 0.0000
2 Ge 0.0000 0.5000 0.5000
3 Ge 0.5000 0.0000 0.5000
4 Ge 0.5000 0.5000 0.0000

The 8 most intense peaks (5° ≤ 2θ ≤ 70°), sorted by position:
2θ 21.77, intensity 27.8; 2θ 30.97, intensity 23.4; 2θ 38.17, intensity 100.0; 2θ 44.37, intensity 48.6; 2θ 49.94, intensity 12.3; 2θ 55.09, intensity 9.1; 2θ 64.55, intensity 31.0; 2θ 69.00, intensity 5.7



6.
Structure and calculated XRD peak list of BeGe3 (a cell relaxed with PBE; Cu Kα, 1.54184 Å).

Atomic structure:
Lattice parameters (Å, degrees): 5.1997 5.1997 5.1997 135.52 135.52 64.72
Atoms (fractional coordinates):
1 Be 0.0000 0.0000 0.0000
2 Ge 0.2500 0.7500 0.5000
3 Ge 0.5000 0.5000 0.0000
4 Ge 0.7500 0.2500 0.5000

The 10 most intense peaks (5° ≤ 2θ ≤ 70°), sorted by position:
2θ 20.22, intensity 10.2; 2θ 24.79, intensity 25.2; 2θ 32.16, intensity 6.6; 2θ 38.29, intensity 100.0; 2θ 41.10, intensity 18.7; 2θ 46.13, intensity 26.7; 2θ 53.08, intensity 9.5; 2θ 61.46, intensity 4.0; 2θ 63.47, intensity 20.6; 2θ 67.28, intensity 8.4